For Tm2SO2, a DFT-relaxed cell (GGA-PBE, the Materials Project) gives the theoretical PXRD pattern in this record (Cu Ka).
No peak broadening, texture or thermal motion is included.

```
data_Tm2SO2
_chemical_formula_sum 'Tm2 S1 O2'
_space_group_name_H-M_alt 'P -3 m 1'
_space_group_IT_number 164
_space_group_name_Hall '-P 3 2"'
_cell_length_a 3.7419
_cell_length_b 3.7419
_cell_length_c 6.5292
_cell_angle_alpha 90.00
_cell_angle_beta 90.00
_cell_angle_gamma 120.00
loop_
_atom_site_label
_atom_site_fract_x
_atom_site_fract_y
_atom_site_fract_z
Tm1 0.3333 0.6667 0.2167
S1 0.0000 0.0000 0.5000
O1 0.3333 0.6667 0.8705
```

Largest 10 diffraction maxima, by angle, 10 to 80 degrees two-theta:
d 3.265, I 23
d 3.241, I 20
d 2.903, I 100
d 2.300, I 30
d 1.871, I 29
d 1.807, I 23
d 1.623, I 18
d 1.573, I 17
d 1.419, I 9
d 1.204, I 14



For USO6, a DFT-relaxed cell (GGA-PBE, the Materials Project) gives the theoretical PXRD pattern in this record (Cu Ka).
No peak broadening, texture or thermal motion is included.

```
data_USO6
_chemical_formula_sum 'U4 S4 O24'
_space_group_name_H-M_alt 'P 1 21/c 1'
_space_group_IT_number 14
_cell_length_a 6.827
_cell_length_b 6.019
_cell_length_c 12.966
_cell_angle_alpha 90.00
_cell_angle_beta 103.26
_cell_angle_gamma 90.00
loop_
_space_group_symop_operation_xyz
'x,y,z'
'-x,-y,-z'
'-x,y+1/2,-z+1/2'
'x,-y+1/2,z+1/2'
loop_
_atom_site_label
_atom_site_fract_x
_atom_site_fract_y
_atom_site_fract_z
U1 0.178 0.247 0.339
S1 0.285 0.542 0.106
O1 0.090 0.514 0.769
O2 0.120 0.707 0.099
O3 0.253 0.503 0.406
O4 0.265 0.139 0.681
O5 0.275 0.055 0.500
O6 0.480 0.655 0.143
```

Largest 10 diffraction maxima, by angle, 10 to 80 degrees two-theta:
d 6.645, I 22
d 5.211, I 51
d 4.461, I 77
d 4.355, I 100
d 3.404, I 33
d 3.323, I 22
d 2.909, I 18
d 2.870, I 24
d 2.790, I 33
d 2.606, I 38